For Ba2MgV2Si4O14, a cell relaxed with PBE+U gives the theoretical X-ray diffraction stick pattern in this record (Cu Kα (λ = 1.5418 Å)).
Lines closer than 0.1° are merged.

Largest 10 diffraction maxima, by angle, 15 to 90 degrees two-theta:
- 2θ 20.7, rel. 45, (1 -1 0)
- 2θ 26.3, rel. 62, (1 1 -2)
- 2θ 26.5, rel. 64, (0 1 2)
- 2θ 26.8, rel. 100, (-1 1 2)
- 2θ 29.5, rel. 60, (1 -2 0)
- 2θ 29.8, rel. 49, (1 2 0)
- 2θ 32.0, rel. 59, (2 0 -1)
- 2θ 33.6, rel. 38, (1 2 -2)
- 2θ 40.5, rel. 53, (2 2 -1)
- 2θ 49.6, rel. 35, (0 4 0)

Cell and atoms:
```
data_Ba2MgV2Si4O14
_cell_length_a 5.5957
_cell_length_b 7.3497
_cell_length_c 8.1773
_cell_angle_alpha 91.68
_cell_angle_beta 109.80
_cell_angle_gamma 90.03
_symmetry_space_group_name_H-M 'P 1'
_symmetry_Int_Tables_number 1
_symmetry_space_group_name_Hall 'P 1'
loop_
_atom_site_label
_atom_site_type_symbol
_atom_site_fract_x
_atom_site_fract_y
_atom_site_fract_z
_atom_site_occupancy
Ba1 Ba 0.0000 0.0000 0.0000 1
Ba2 Ba 0.3993 0.5178 0.8057 1
Mg1 Mg 0.0721 0.2586 0.4033 1
V1 V 0.1047 0.5294 0.1819 1
V2 V 0.3230 0.9883 0.6248 1
Si1 Si 0.5781 0.2319 0.1899 1
Si2 Si 0.6019 0.7874 0.1948 1
Si3 Si 0.7875 0.2858 0.6155 1
Si4 Si 0.8061 0.7308 0.6111 1
O1 O 0.0778 0.2118 0.6625 1
O2 O 0.0934 0.8152 0.7002 1
O3 O 0.2007 0.0187 0.3908 1
O4 O 0.2131 0.4986 0.4160 1
O5 O 0.3039 0.3215 0.0954 1
O6 O 0.3175 0.7041 0.1002 1
O7 O 0.5653 0.0086 0.1415 1
O8 O 0.6073 0.1960 0.7102 1
O9 O 0.6152 0.8130 0.7059 1
O10 O 0.6767 0.2583 0.4027 1
O11 O 0.7015 0.7602 0.4032 1
O12 O 0.8020 0.7031 0.1068 1
O13 O 0.8216 0.5093 0.6632 1
O14 O 0.8227 0.3063 0.1438 1
```

For Ba2MgV2Si4O14, a cell relaxed with PBE+U gives the theoretical X-ray diffraction stick pattern in this record (Cu Kα (λ = 1.5418 Å)).
Lines closer than 0.1° are merged.

Largest 10 diffraction maxima, by angle, 15 to 90 degrees two-theta:
- 2θ 20.8, rel. 20, (-1 1 1)
- 2θ 23.6, rel. 100, (0 0 2)
- 2θ 27.6, rel. 63, (1 -2 0)
- 2θ 28.0, rel. 20, (-1 1 2)
- 2θ 29.2, rel. 33, (0 1 2)
- 2θ 29.7, rel. 60, (1 2 -1)
- 2θ 29.9, rel. 22, (0 2 -2)
- 2θ 31.4, rel. 50, (2 0 -1)
- 2θ 33.7, rel. 21, (1 1 -3)
- 2θ 42.4, rel. 28, (2 -2 1)

Cell and atoms:
```
data_Ba2MgV2Si4O14
_cell_length_a 5.7108
_cell_length_b 7.4589
_cell_length_c 8.2471
_cell_angle_alpha 101.52
_cell_angle_beta 109.32
_cell_angle_gamma 94.54
_symmetry_space_group_name_H-M 'P 1'
_symmetry_Int_Tables_number 1
_symmetry_space_group_name_Hall 'P 1'
loop_
_atom_site_label
_atom_site_type_symbol
_atom_site_fract_x
_atom_site_fract_y
_atom_site_fract_z
_atom_site_occupancy
Ba1 Ba 0.0000 0.0000 0.0000 1
Ba2 Ba 0.3153 0.6223 0.6604 1
Mg1 Mg 0.8719 0.2432 0.7336 1
V1 V 0.0008 0.5687 0.1072 1
V2 V 0.2907 0.0919 0.5328 1
Si1 Si 0.5231 0.2474 0.0290 1
Si2 Si 0.5276 0.8158 0.0991 1
Si3 Si 0.6986 0.4010 0.4532 1
Si4 Si 0.7719 0.8504 0.5166 1
O1 O 0.0707 0.9299 0.6142 1
O2 O 0.1436 0.5565 0.3222 1
O3 O 0.1689 0.0005 0.3053 1
O4 O 0.2397 0.7062 0.0114 1
O5 O 0.2472 0.2674 0.9009 1
O6 O 0.5236 0.0203 0.0356 1
O7 O 0.5306 0.3243 0.5623 1
O8 O 0.5818 0.3555 0.2372 1
O9 O 0.6337 0.9780 0.6360 1
O10 O 0.6510 0.8585 0.3121 1
O11 O 0.7063 0.7071 0.0074 1
O12 O 0.7370 0.6319 0.5336 1
O13 O 0.7566 0.3109 0.9637 1
O14 O 0.9622 0.3269 0.5421 1
```

For Ba2MgV2Si4O14, a cell relaxed with PBE+U gives the theoretical X-ray diffraction stick pattern in this record (Cu Kα (λ = 1.5418 Å)).
Lines closer than 0.1° are merged.

Largest 10 diffraction maxima, by angle, 15 to 90 degrees two-theta:
- 2θ 19.8, rel. 68, (1 1 0)
- 2θ 26.1, rel. 61, (0 1 2)
- 2θ 26.4, rel. 94, (1 1 2)
- 2θ 26.5, rel. 61, (0 2 -1)
- 2θ 26.7, rel. 81, (-1 1 1)
- 2θ 26.9, rel. 61, (0 2 1)
- 2θ 30.5, rel. 62, (1 -2 1)
- 2θ 32.0, rel. 90, (2 0 1)
- 2θ 32.4, rel. 100, (1 0 -2)
- 2θ 33.5, rel. 63, (1 0 3)

Cell and atoms:
```
data_Ba2MgV2Si4O14
_cell_length_a 5.6119
_cell_length_b 7.4058
_cell_length_c 8.1551
_cell_angle_alpha 89.68
_cell_angle_beta 72.13
_cell_angle_gamma 85.78
_symmetry_space_group_name_H-M 'P 1'
_symmetry_Int_Tables_number 1
_symmetry_space_group_name_Hall 'P 1'
loop_
_atom_site_label
_atom_site_type_symbol
_atom_site_fract_x
_atom_site_fract_y
_atom_site_fract_z
_atom_site_occupancy
Ba1 Ba 0.0000 0.0000 0.0000 1
Ba2 Ba 0.3987 0.4853 0.1719 1
Mg1 Mg 0.0501 0.3933 0.7347 1
V1 V 0.2738 0.7133 0.6448 1
V2 V 0.3288 0.9951 0.3418 1
Si1 Si 0.5946 0.2122 0.7779 1
Si2 Si 0.6719 0.7744 0.7582 1
Si3 Si 0.8161 0.7148 0.3430 1
Si4 Si 0.8166 0.2741 0.3689 1
O1 O 0.0866 0.7977 0.2715 1
O2 O 0.1027 0.1844 0.2737 1
O3 O 0.2135 0.9511 0.5739 1
O4 O 0.2600 0.5054 0.5270 1
O5 O 0.2968 0.2656 0.8370 1
O6 O 0.3940 0.7043 0.8536 1
O7 O 0.6135 0.1808 0.2979 1
O8 O 0.6152 0.8005 0.2485 1
O9 O 0.6493 0.9912 0.8059 1
O10 O 0.6837 0.7460 0.5533 1
O11 O 0.7456 0.3001 0.8954 1
O12 O 0.7562 0.2684 0.5796 1
O13 O 0.8394 0.4911 0.3048 1
O14 O 0.9079 0.6748 0.8056 1
```